[1]
This entry pairs a crystal structure of Na2Cd3In9 with its computed XRD peak list. Radiation: copper Kα. Structure: a crystal structure in Alexandria, relaxed with PBE.
Kinematic intensities with the Lorentz-polarization factor, no thermal factor.

Top 10 peaks for 2θ from 15° to 90°, in order of rising 2θ:
- d = 3.094 Å, 28.86°, intensity 15
- d = 2.897 Å, 30.87°, intensity 54
- d = 2.845 Å, 31.45°, intensity 38
- d = 2.773 Å, 32.28°, intensity 44
- d = 2.542 Å, 35.31°, intensity 100
- d = 2.516 Å, 35.68°, intensity 61
- d = 2.484 Å, 36.17°, intensity 27
- d = 2.400 Å, 37.47°, intensity 18
- d = 2.306 Å, 39.07°, intensity 19
- d = 2.222 Å, 40.61°, intensity 18

Crystal structure
a b c (Å): 15.118 8.835 12.018
angles (deg): 90.00 111.83 90.00
Space group C2/c (No. 15)
Unique sites:
Na1 0.142 0.110 0.241 x8
Cd1 0.068 0.238 0.449 x8
Cd2 0.250 0.250 0.000 x4
In1 0.000 0.484 0.250 x4
In2 0.051 0.105 0.909 x8
In3 0.116 0.438 0.077 x8
In4 0.147 0.266 0.733 x8
In5 0.233 0.418 0.404 x8


[2]
This entry pairs a crystal structure of Na2Cd9In with its computed XRD peak list. Radiation: copper Kα. Structure: a crystal structure in Alexandria, relaxed with PBE.
Kinematic intensities with the Lorentz-polarization factor, no thermal factor.

Top 10 peaks for 2θ from 15° to 90°, in order of rising 2θ:
- d = 5.136 Å, 17.27°, intensity 42
- d = 2.598 Å, 34.52°, intensity 26
- d = 2.568 Å, 34.94°, intensity 19
- d = 2.558 Å, 35.08°, intensity 100
- d = 2.422 Å, 37.12°, intensity 35
- d = 2.380 Å, 37.80°, intensity 41
- d = 2.209 Å, 40.85°, intensity 26
- d = 1.637 Å, 56.19°, intensity 25
- d = 1.506 Å, 61.57°, intensity 25
- d = 1.279 Å, 74.13°, intensity 26

Crystal structure
a b c (Å): 6.0250 6.0250 29.0668
angles (deg): 90.00 90.00 120.00
Space group R-3m (No. 166, hexagonal axes)
Unique sites:
Na1 0.0000 0.0000 0.1427 x6
Cd1 0.0000 0.0000 0.3345 x6
Cd2 0.0000 0.0000 0.5000 x3
Cd3 0.0056 0.5028 0.9152 x18
In1 0.0000 0.0000 0.0000 x3


[3]
This entry pairs a crystal structure of Na2CdIn6 with its computed XRD peak list. Radiation: copper Kα. Structure: a crystal structure in Alexandria, relaxed with PBE.
Kinematic intensities with the Lorentz-polarization factor, no thermal factor.

Top 10 peaks for 2θ from 15° to 90°, in order of rising 2θ:
- d = 5.831 Å, 15.19°, intensity 20
- d = 4.332 Å, 20.50°, intensity 34
- d = 2.987 Å, 29.92°, intensity 22
- d = 2.830 Å, 31.62°, intensity 20
- d = 2.658 Å, 33.72°, intensity 100
- d = 2.204 Å, 40.95°, intensity 16
- d = 2.166 Å, 41.70°, intensity 44
- d = 2.158 Å, 41.87°, intensity 14
- d = 1.683 Å, 54.52°, intensity 21
- d = 1.327 Å, 71.02°, intensity 15

Crystal structure
a b c (Å): 11.660 6.734 6.473
angles (deg): 90.00 90.01 90.00
Space group C2/m (No. 12)
Unique sites:
Na1 0.167 0.000 0.150 x4
Cd1 0.000 0.500 0.000 x2
In1 0.090 0.233 0.672 x8
In2 0.180 0.500 0.327 x4


[4]
This entry pairs a crystal structure of NaCd6In4 with its computed XRD peak list. Radiation: copper Kα. Structure: a crystal structure in Alexandria, relaxed with PBE.
Kinematic intensities with the Lorentz-polarization factor, no thermal factor.

Top 10 peaks for 2θ from 15° to 90°, in order of rising 2θ:
- d = 3.138 Å, 28.44°, intensity 18
- d = 2.889 Å, 30.95°, intensity 87
- d = 2.798 Å, 31.98°, intensity 32
- d = 2.394 Å, 37.57°, intensity 100
- d = 2.310 Å, 38.98°, intensity 34
- d = 2.177 Å, 41.48°, intensity 18
- d = 2.137 Å, 42.28°, intensity 31
- d = 1.782 Å, 51.28°, intensity 16
- d = 1.569 Å, 58.86°, intensity 22
- d = 1.410 Å, 66.28°, intensity 28

Crystal structure
a b c (Å): 8.5495 8.5495 4.6209
angles (deg): 90.00 90.00 120.00
Space group P-6m2 (No. 187)
Unique sites:
Na1 0.0000 0.0000 0.0000 x1
Cd1 0.1973 0.3946 0.5000 x3
Cd2 0.5348 0.0695 0.0000 x3
In1 0.3333 0.6667 0.0000 x1
In2 0.3945 0.1973 0.5000 x3


[5]
This entry pairs a crystal structure of Na4CdIn with its computed XRD peak list. Radiation: copper Kα. Structure: a crystal structure in Alexandria, relaxed with PBE.
Kinematic intensities with the Lorentz-polarization factor, no thermal factor.

Top 10 peaks for 2θ from 15° to 90°, in order of rising 2θ:
- d = 4.785 Å, 18.54°, intensity 98
- d = 2.763 Å, 32.41°, intensity 81
- d = 2.604 Å, 34.44°, intensity 100
- d = 2.393 Å, 37.59°, intensity 16
- d = 2.064 Å, 43.87°, intensity 11
- d = 1.895 Å, 48.01°, intensity 37
- d = 1.809 Å, 50.46°, intensity 14
- d = 1.595 Å, 57.80°, intensity 14
- d = 1.563 Å, 59.12°, intensity 38
- d = 1.353 Å, 69.47°, intensity 16

Crystal structure
a b c (Å): 6.207 19.159 5.520
angles (deg): 90.00 90.00 90.00
Space group Cmcm (No. 63)
Unique sites:
Na1 0.246 0.042 0.250 x8
Na2 0.249 0.208 0.250 x8
Cd1 0.000 0.379 0.250 x4
In1 0.000 0.129 0.750 x4


[6]
This entry pairs a crystal structure of Na2Cd3In4 with its computed XRD peak list. Radiation: copper Kα. Structure: a crystal structure in Alexandria, relaxed with PBE.
Kinematic intensities with the Lorentz-polarization factor, no thermal factor.

Top 10 peaks for 2θ from 15° to 90°, in order of rising 2θ:
- d = 5.117 Å, 17.33°, intensity 24
- d = 4.884 Å, 18.16°, intensity 50
- d = 2.664 Å, 33.64°, intensity 30
- d = 2.595 Å, 34.56°, intensity 41
- d = 2.571 Å, 34.90°, intensity 100
- d = 2.442 Å, 36.81°, intensity 47
- d = 2.431 Å, 36.98°, intensity 30
- d = 2.146 Å, 42.11°, intensity 24
- d = 1.628 Å, 56.53°, intensity 28
- d = 1.553 Å, 59.54°, intensity 24

Crystal structure
a b c (Å): 5.949 10.235 15.571
angles (deg): 90.00 90.00 90.00
Space group Fmmm (No. 69)
Unique sites:
Na1 0.000 0.000 0.122 x8
Cd1 0.000 0.000 0.500 x4
Cd2 0.250 0.250 0.000 x8
In1 0.000 0.159 0.326 x16


[7]
This entry pairs a crystal structure of Na3Cd2In3 with its computed XRD peak list. Radiation: copper Kα. Structure: a crystal structure in Alexandria, relaxed with PBE.
Kinematic intensities with the Lorentz-polarization factor, no thermal factor.

Top 10 peaks for 2θ from 15° to 90°, in order of rising 2θ:
- d = 4.677 Å, 18.98°, intensity 21
- d = 3.708 Å, 24.00°, intensity 19
- d = 2.692 Å, 33.29°, intensity 100
- d = 2.427 Å, 37.05°, intensity 19
- d = 2.400 Å, 37.47°, intensity 19
- d = 2.189 Å, 41.24°, intensity 12
- d = 1.706 Å, 53.72°, intensity 13
- d = 1.625 Å, 56.63°, intensity 9
- d = 1.447 Å, 64.39°, intensity 14
- d = 1.436 Å, 64.96°, intensity 13

Crystal structure
a b c (Å): 18.152 4.853 4.800
angles (deg): 90.00 105.24 90.00
Space group C2/m (No. 12)
Unique sites:
Na1 0.000 0.000 0.000 x2
Na2 0.130 0.000 0.630 x4
Cd1 0.247 0.000 0.248 x4
In1 0.000 0.500 0.500 x2
In2 0.136 0.500 0.135 x4


[8]
This entry pairs a crystal structure of Na5Cd2In5 with its computed XRD peak list. Radiation: copper Kα. Structure: a crystal structure in Alexandria, relaxed with PBE.
Kinematic intensities with the Lorentz-polarization factor, no thermal factor.

Top 10 peaks for 2θ from 15° to 90°, in order of rising 2θ:
- d = 5.729 Å, 15.47°, intensity 15
- d = 4.022 Å, 22.10°, intensity 9
- d = 2.732 Å, 32.78°, intensity 100
- d = 2.399 Å, 37.49°, intensity 17
- d = 2.365 Å, 38.05°, intensity 17
- d = 2.336 Å, 38.54°, intensity 16
- d = 1.674 Å, 54.85°, intensity 11
- d = 1.662 Å, 55.27°, intensity 11
- d = 1.425 Å, 65.50°, intensity 7
- d = 1.414 Å, 66.10°, intensity 12

Crystal structure
a b c (Å): 14.394 4.672 9.460
angles (deg): 90.00 90.22 90.00
Space group C2/m (No. 12)
Unique sites:
Na1 0.000 0.000 0.000 x2
Na2 0.001 0.500 0.752 x4
Na3 0.167 0.500 0.498 x4
Cd1 0.169 0.000 0.755 x4
In1 0.000 0.000 0.500 x2
In2 0.168 0.500 0.002 x4
In3 0.177 0.000 0.237 x4